Theoretical powder diffractogram of HgMoPb for Cu Ka, from a cell relaxed with PBE.
Neutral-atom scattering factors, no anomalous dispersion.

Atomic structure:
```
data_HgMoPb
_chemical_formula_sum 'Hg4 Mo4 Pb4'
_cell_length_a 10.3881
_cell_length_b 3.3681
_cell_length_c 8.9169
_cell_angle_alpha 90.00
_cell_angle_beta 111.76
_cell_angle_gamma 90.00
_symmetry_space_group_name_H-M 'C 1 2 1'
_symmetry_Int_Tables_number 5
loop_
_symmetry_equiv_pos_as_xyz
'x,y,z'
'-x,y,-z'
'x+1/2,y+1/2,z'
'-x+1/2,y+1/2,-z'
loop_
_atom_site_label
_atom_site_fract_x
_atom_site_fract_y
_atom_site_fract_z
Hg1 0.0000 0.0000 0.0000
Hg2 0.0000 0.0181 0.5000
Mo1 0.1888 0.5181 0.4008
Pb1 0.1751 0.5174 0.7985
```

Top 8 peaks for 2θ = 5–70°, low angle first:
- d 2.905, I = 12, hkl 2 0 -3
- d 2.686, I = 100, hkl 1 1 -2
- d 2.532, I = 29, hkl 4 0 -2
- d 2.326, I = 54, hkl 3 1 0
- d 2.224, I = 14, hkl 2 0 -4
- d 1.684, I = 10, hkl 0 2 0
- d 1.427, I = 9, hkl 2 2 2
- d 1.403, I = 17, hkl 4 2 -2



Theoretical powder diffractogram of HgMoPt2 for Cu Ka, from a cell relaxed with PBE.
Neutral-atom scattering factors, no anomalous dispersion.

Atomic structure:
```
data_HgMoPt2
_chemical_formula_sum 'Hg2 Mo2 Pt4'
_cell_length_a 9.4397
_cell_length_b 2.8342
_cell_length_c 5.0814
_cell_angle_alpha 90.00
_cell_angle_beta 98.77
_cell_angle_gamma 90.00
_symmetry_space_group_name_H-M 'C 1 m 1'
_symmetry_Int_Tables_number 8
loop_
_symmetry_equiv_pos_as_xyz
'x,y,z'
'x,-y,z'
'x+1/2,y+1/2,z'
'x+1/2,-y+1/2,z'
loop_
_atom_site_label
_atom_site_fract_x
_atom_site_fract_y
_atom_site_fract_z
Hg1 0.0000 0.0000 0.0000
Mo1 0.2460 0.0000 0.6979
Pt1 0.0052 0.5000 0.5111
Pt2 0.2544 0.5000 0.2285
```

Top 8 peaks for 2θ = 5–70°, low angle first:
- d 2.367, I = 50, hkl 2 0 -2
- d 2.343, I = 100, hkl 1 1 1
- d 2.332, I = 50, hkl 4 0 0
- d 2.082, I = 33, hkl 2 0 2
- d 2.008, I = 64, hkl 3 1 -1
- d 1.454, I = 20, hkl 1 1 -3
- d 1.437, I = 21, hkl 5 1 1
- d 1.417, I = 11, hkl 0 2 0



Theoretical powder diffractogram of HgSb4Mo for Cu Ka, from a cell relaxed with PBE.
Neutral-atom scattering factors, no anomalous dispersion.

Atomic structure:
```
data_HgSb4Mo
_chemical_formula_sum 'Hg4 Sb16 Mo4'
_cell_length_a 8.7948
_cell_length_b 8.7948
_cell_length_c 8.7948
_cell_angle_alpha 90.00
_cell_angle_beta 90.00
_cell_angle_gamma 90.00
_symmetry_space_group_name_H-M 'F -4 3 m'
_symmetry_Int_Tables_number 216
_symmetry_space_group_name_Hall 'F -4 2 3'
loop_
_atom_site_label
_atom_site_fract_x
_atom_site_fract_y
_atom_site_fract_z
Hg1 0.0000 0.0000 0.0000
Sb1 0.1264 0.1264 0.3736
Mo1 0.2500 0.2500 0.7500
```

Top 8 peaks for 2θ = 5–70°, low angle first:
- d 5.078, I = 5, hkl 1 1 1
- d 3.109, I = 32, hkl 2 2 0
- d 2.652, I = 100, hkl 3 1 1
- d 2.539, I = 34, hkl 2 2 2
- d 1.795, I = 13, hkl 4 2 2
- d 1.693, I = 34, hkl 3 3 3
- d 1.555, I = 28, hkl 4 4 0
- d 1.391, I = 6, hkl 6 2 0